Record 1
Computed XRD peak list of Ta2ZnO6 for Cu Ka, from a DFT-relaxed cell (GGA-PBE, the Materials Project).
Kinematic intensities with the Lorentz-polarization factor, no thermal factor.

Cell and atoms:
abc: 4.762 17.363 5.116
angles: 90.00 90.00 90.00
Fractional coordinates of all 36 atoms:
Ta  0.000  0.056  0.250
Ta  0.000  0.281  0.750
Ta  0.000  0.719  0.250
Ta  0.000  0.944  0.750
Ta  0.500  0.219  0.250
Ta  0.500  0.444  0.750
Ta  0.500  0.556  0.250
Ta  0.500  0.781  0.750
Zn  0.000  0.398  0.250
Zn  0.000  0.602  0.750
Zn  0.500  0.102  0.750
Zn  0.500  0.898  0.250
O  0.217  0.035  0.572
O  0.217  0.965  0.072
O  0.230  0.372  0.601
O  0.230  0.628  0.101
O  0.240  0.288  0.072
O  0.240  0.712  0.572
O  0.260  0.212  0.572
O  0.260  0.788  0.072
O  0.270  0.128  0.101
O  0.270  0.872  0.601
O  0.283  0.465  0.072
O  0.283  0.535  0.572
O  0.717  0.465  0.428
O  0.717  0.535  0.928
O  0.730  0.128  0.399
O  0.730  0.872  0.899
O  0.740  0.212  0.928
O  0.740  0.788  0.428
O  0.760  0.288  0.428
O  0.760  0.712  0.928
O  0.770  0.372  0.899
O  0.770  0.628  0.399
O  0.783  0.035  0.928
O  0.783  0.965  0.428

Peak list (10 most intense, 2θ from 10° to 80°, low angle first)
2theta	Rel. int.
20.15	14
24.20	31
29.93	100
35.08	17
35.65	23
51.08	15
52.51	17
52.92	25
59.78	15
63.46	28


Record 2
Computed XRD peak list of Ta2Zn4O9 for Cu Ka, from a DFT-relaxed cell (GGA-PBE, the Materials Project).
Kinematic intensities with the Lorentz-polarization factor, no thermal factor.

Cell and atoms:
abc: 8.864 8.960 10.489
angles: 87.61 87.50 61.23
Fractional coordinates of all 60 atoms:
Ta  0.000  0.000  0.000
Ta  0.000  0.000  0.500
Ta  0.307  0.002  0.243
Ta  0.326  0.353  0.797
Ta  0.331  0.354  0.301
Ta  0.669  0.646  0.699
Ta  0.674  0.647  0.203
Ta  0.693  0.998  0.757
Zn  0.008  0.256  0.732
Zn  0.040  0.344  0.066
Zn  0.099  0.567  0.558
Zn  0.225  0.797  0.758
Zn  0.328  0.595  0.046
Zn  0.341  0.059  0.571
Zn  0.364  0.674  0.460
Zn  0.425  0.901  0.951
Zn  0.575  0.099  0.049
Zn  0.636  0.326  0.540
Zn  0.659  0.941  0.429
Zn  0.672  0.405  0.954
Zn  0.775  0.203  0.242
Zn  0.901  0.433  0.442
Zn  0.960  0.656  0.934
Zn  0.992  0.744  0.268
O  0.089  0.048  0.838
O  0.090  0.762  0.441
O  0.101  0.051  0.340
O  0.117  0.755  0.946
O  0.127  0.415  0.408
O  0.129  0.408  0.907
O  0.216  0.561  0.200
O  0.221  0.955  0.084
O  0.225  0.259  0.674
O  0.230  0.911  0.579
O  0.237  0.570  0.702
O  0.238  0.234  0.176
O  0.408  0.089  0.380
O  0.436  0.424  0.423
O  0.443  0.769  0.313
O  0.452  0.404  0.921
O  0.457  0.754  0.811
O  0.465  0.094  0.876
O  0.535  0.906  0.124
O  0.543  0.246  0.189
O  0.548  0.596  0.079
O  0.557  0.231  0.687
O  0.564  0.576  0.577
O  0.592  0.911  0.620
O  0.762  0.766  0.824
O  0.763  0.430  0.298
O  0.770  0.089  0.421
O  0.775  0.741  0.326
O  0.779  0.045  0.916
O  0.784  0.439  0.800
O  0.871  0.592  0.093
O  0.873  0.585  0.592
O  0.883  0.245  0.054
O  0.899  0.949  0.660
O  0.910  0.238  0.559
O  0.911  0.952  0.162

Peak list (10 most intense, 2θ from 10° to 80°, low angle first)
2theta	Rel. int.
21.02	62
28.18	95
28.74	35
28.99	60
31.85	46
34.25	69
34.55	50
34.64	100
35.15	42
53.64	37


Record 3
Computed XRD peak list of Ta2Zn4O9 for Cu Ka, from a DFT-relaxed cell (GGA-PBE, the Materials Project).
Kinematic intensities with the Lorentz-polarization factor, no thermal factor.

Cell and atoms:
abc: 9.074 5.223 14.512
angles: 90.00 90.00 90.00
Fractional coordinates of all 60 atoms:
Ta  0.018  0.004  0.143
Ta  0.018  0.996  0.643
Ta  0.482  0.496  0.643
Ta  0.482  0.504  0.143
Ta  0.518  0.496  0.857
Ta  0.518  0.504  0.357
Ta  0.982  0.004  0.357
Ta  0.982  0.996  0.857
Zn  0.162  0.492  0.504
Zn  0.162  0.508  0.004
Zn  0.164  0.497  0.802
Zn  0.164  0.503  0.302
Zn  0.336  0.003  0.302
Zn  0.336  0.997  0.802
Zn  0.338  0.008  0.004
Zn  0.338  0.992  0.504
Zn  0.662  0.008  0.496
Zn  0.662  0.992  0.996
Zn  0.664  0.003  0.198
Zn  0.664  0.997  0.698
Zn  0.836  0.497  0.698
Zn  0.836  0.503  0.198
Zn  0.838  0.492  0.996
Zn  0.838  0.508  0.496
O  0.000  0.287  0.250
O  0.000  0.713  0.750
O  0.006  0.323  0.914
O  0.006  0.677  0.414
O  0.143  0.137  0.751
O  0.143  0.863  0.251
O  0.159  0.180  0.405
O  0.159  0.820  0.905
O  0.166  0.163  0.074
O  0.166  0.837  0.574
O  0.334  0.337  0.574
O  0.334  0.663  0.074
O  0.341  0.320  0.905
O  0.341  0.680  0.405
O  0.357  0.363  0.251
O  0.357  0.637  0.751
O  0.494  0.177  0.414
O  0.494  0.823  0.914
O  0.500  0.213  0.750
O  0.500  0.787  0.250
O  0.506  0.177  0.086
O  0.506  0.823  0.586
O  0.643  0.363  0.249
O  0.643  0.637  0.749
O  0.659  0.320  0.595
O  0.659  0.680  0.095
O  0.666  0.337  0.926
O  0.666  0.663  0.426
O  0.834  0.163  0.426
O  0.834  0.837  0.926
O  0.841  0.180  0.095
O  0.841  0.820  0.595
O  0.857  0.137  0.749
O  0.857  0.863  0.249
O  0.994  0.323  0.586
O  0.994  0.677  0.086

Peak list (10 most intense, 2θ from 10° to 80°, low angle first)
2theta	Rel. int.
19.60	49
23.15	15
31.60	100
34.29	79
47.31	34
51.44	24
51.50	12
59.68	19
61.45	16
67.81	15


Record 4
Computed XRD peak list of Ta5Zn7O18 for Cu Ka, from a DFT-relaxed cell (GGA-PBE, the Materials Project).
Kinematic intensities with the Lorentz-polarization factor, no thermal factor.

Cell and atoms:
abc: 8.838 8.838 10.587
angles: 92.25 92.25 63.54
Fractional coordinates of all 60 atoms:
Ta  0.000  0.000  0.000
Ta  0.000  0.000  0.500
Ta  0.001  0.700  0.735
Ta  0.300  0.999  0.765
Ta  0.337  0.338  0.704
Ta  0.338  0.337  0.204
Ta  0.662  0.663  0.796
Ta  0.663  0.662  0.296
Ta  0.700  0.001  0.235
Ta  0.999  0.300  0.265
Zn  0.036  0.348  0.936
Zn  0.110  0.566  0.450
Zn  0.230  0.770  0.250
Zn  0.329  0.620  0.966
Zn  0.348  0.036  0.436
Zn  0.380  0.671  0.534
Zn  0.434  0.890  0.050
Zn  0.566  0.110  0.950
Zn  0.620  0.329  0.466
Zn  0.652  0.964  0.564
Zn  0.671  0.380  0.034
Zn  0.770  0.230  0.750
Zn  0.890  0.434  0.550
Zn  0.964  0.652  0.064
O  0.047  0.109  0.156
O  0.065  0.767  0.574
O  0.092  0.460  0.625
O  0.102  0.398  0.122
O  0.109  0.047  0.656
O  0.123  0.765  0.079
O  0.230  0.242  0.337
O  0.231  0.556  0.810
O  0.233  0.935  0.926
O  0.235  0.877  0.421
O  0.242  0.230  0.837
O  0.252  0.545  0.304
O  0.398  0.102  0.622
O  0.410  0.431  0.573
O  0.431  0.410  0.073
O  0.444  0.769  0.690
O  0.455  0.748  0.196
O  0.460  0.092  0.125
O  0.540  0.908  0.875
O  0.545  0.252  0.804
O  0.556  0.231  0.310
O  0.569  0.590  0.927
O  0.590  0.569  0.427
O  0.602  0.898  0.378
O  0.748  0.455  0.696
O  0.758  0.770  0.163
O  0.765  0.123  0.579
O  0.767  0.065  0.074
O  0.769  0.444  0.190
O  0.770  0.758  0.663
O  0.877  0.235  0.921
O  0.891  0.953  0.344
O  0.898  0.602  0.878
O  0.908  0.540  0.375
O  0.935  0.233  0.426
O  0.953  0.891  0.844

Peak list (10 most intense, 2θ from 10° to 80°, low angle first)
2theta	Rel. int.
20.99	49
28.52	100
31.85	52
32.08	39
33.18	32
33.90	87
34.00	73
34.53	23
35.90	32
54.18	34


Record 5
Computed XRD peak list of Ta2ZnO6 for Cu Ka, from a DFT-relaxed cell (GGA-PBE, the Materials Project).
Kinematic intensities with the Lorentz-polarization factor, no thermal factor.

Cell and atoms:
abc: 7.686 5.471 5.293
angles: 90.00 90.00 90.00
Fractional coordinates of all 18 atoms:
Ta  0.249  0.246  0.000
Ta  0.251  0.754  0.500
Ta  0.749  0.754  0.500
Ta  0.751  0.246  0.000
Zn  0.000  0.714  0.001
Zn  0.500  0.286  0.501
O  0.000  0.292  0.921
O  0.000  0.779  0.625
O  0.188  0.930  0.170
O  0.207  0.462  0.284
O  0.293  0.538  0.784
O  0.312  0.070  0.670
O  0.500  0.221  0.125
O  0.500  0.708  0.421
O  0.688  0.070  0.670
O  0.707  0.538  0.784
O  0.793  0.462  0.284
O  0.812  0.930  0.170

Peak list (10 most intense, 2θ from 10° to 80°, low angle first)
2theta	Rel. int.
23.14	37
23.38	72
32.73	27
33.13	100
33.87	23
47.82	25
53.42	16
53.77	16
58.70	33
60.13	23


Record 6
Computed XRD peak list of Tb2O3 for Cu Ka, from a DFT-relaxed cell (GGA-PBE, the Materials Project).
Kinematic intensities with the Lorentz-polarization factor, no thermal factor.

Cell and atoms:
abc: 3.705 3.705 5.905
angles: 90.00 90.00 120.00
Fractional coordinates of all 5 atoms:
Tb  0.333  0.667  0.250
Tb  0.667  0.333  0.750
O  0.000  0.000  0.000
O  0.333  0.667  0.645
O  0.667  0.333  0.355

Peak list (10 most intense, 2θ from 10° to 80°, low angle first)
2theta	Rel. int.
27.81	28
30.27	28
31.74	100
41.57	25
49.19	30
54.71	27
58.85	26
59.73	17
66.31	6
76.62	10


Record 7
Computed XRD peak list of Tb2O3 for Cu Ka, from a DFT-relaxed cell (GGA-PBE, the Materials Project).
Kinematic intensities with the Lorentz-polarization factor, no thermal factor.

Cell and atoms:
abc: 9.305 9.305 9.305
angles: 109.47 109.47 109.47
Fractional coordinates of all 40 atoms:
Tb  0.000  0.000  0.500
Tb  0.000  0.500  0.000
Tb  0.032  0.750  0.782
Tb  0.218  0.968  0.250
Tb  0.250  0.218  0.968
Tb  0.250  0.718  0.468
Tb  0.282  0.532  0.750
Tb  0.468  0.250  0.718
Tb  0.500  0.000  0.000
Tb  0.500  0.500  0.500
Tb  0.532  0.750  0.282
Tb  0.718  0.468  0.250
Tb  0.750  0.282  0.532
Tb  0.750  0.782  0.032
Tb  0.782  0.032  0.750
Tb  0.968  0.250  0.218
O  0.012  0.042  0.272
O  0.030  0.488  0.760
O  0.042  0.272  0.012
O  0.228  0.270  0.740
O  0.230  0.458  0.470
O  0.240  0.970  0.512
O  0.260  0.772  0.730
O  0.270  0.740  0.228
O  0.272  0.012  0.042
O  0.458  0.470  0.230
O  0.470  0.230  0.458
O  0.488  0.760  0.030
O  0.512  0.240  0.970
O  0.530  0.770  0.542
O  0.542  0.530  0.770
O  0.728  0.988  0.958
O  0.730  0.260  0.772
O  0.740  0.228  0.270
O  0.760  0.030  0.488
O  0.770  0.542  0.530
O  0.772  0.730  0.260
O  0.958  0.728  0.988
O  0.970  0.512  0.240
O  0.988  0.958  0.728

Peak list (10 most intense, 2θ from 10° to 80°, low angle first)
2theta	Rel. int.
20.25	10
28.78	100
33.36	35
42.92	8
47.89	39
56.84	32
58.24	6
59.62	7
77.44	9
79.85	7


Record 8
Computed XRD peak list of Tb2O3 for Cu Ka, from a DFT-relaxed cell (GGA-PBE, the Materials Project).
Kinematic intensities with the Lorentz-polarization factor, no thermal factor.

Cell and atoms:
abc: 5.384 5.384 5.384
angles: 90.00 90.00 90.00
Fractional coordinates of all 10 atoms:
Tb  0.000  0.000  0.000
Tb  0.000  0.500  0.500
Tb  0.500  0.000  0.500
Tb  0.500  0.500  0.000
O  0.250  0.250  0.750
O  0.250  0.750  0.250
O  0.250  0.750  0.750
O  0.750  0.250  0.250
O  0.750  0.250  0.750
O  0.750  0.750  0.250

Peak list (9 most intense, 2θ from 10° to 80°, low angle first)
2theta	Rel. int.
23.37	1
28.72	100
33.28	36
47.79	49
56.71	45
59.48	10
69.89	7
77.25	18
79.64	13